# CsFe4O7
Simulated X-ray diffraction stick pattern, Cu Kα X-rays. Input: a cell relaxed with GGA+U.
Lines closer than 0.1° are merged.

Atomic structure:
a = 14.126 Å, b = 5.691 Å, c = 5.408 Å
α = 90.00°, β = 90.00°, γ = 90.00°
Space group Pmn2_1 (No. 31)
Unique sites:
Cs: 0.000 0.196 0.000 (multiplicity 2)
Fe: 0.121 0.679 0.477 (multiplicity 4)
Fe: 0.249 0.830 0.967 (multiplicity 4)
O: 0.000 0.755 0.370 (multiplicity 2)
O: 0.137 0.751 0.810 (multiplicity 4)
O: 0.147 0.364 0.421 (multiplicity 4)
O: 0.214 0.877 0.309 (multiplicity 4)

The 12 most intense peaks (2θ from 10° to 90°), in order of rising 2θ:
| 2θ (°) | I_rel | index |
| --- | --- | --- |
| 22.7 | 15 | 0 1 1 |
| 23.6 | 18 | 1 1 1 |
| 24.5 | 38 | 3 1 0 |
| 25.1 | 44 | 3 0 1 |
| 26.0 | 100 | 2 1 1 |
| 29.8 | 21 | 4 1 0 |
| 31.4 | 22 | 0 2 0 |
| 33.1 | 29 | 0 0 2 |
| 35.9 | 15 | 5 0 1 |
| 37.9 | 15 | 2 2 1 |
| 44.9 | 14 | 6 1 1 |
| 54.9 | 14 | 4 3 0 |